This entry pairs a crystal structure of BaBi4I2O4 with its simulated powder diffractogram. Radiation: Cu Kα (weighted mean of Kα1 and Kα2). Structure: the PBE geometry in Alexandria.

The 12 most intense peaks (2θ from 15° to 90°), sorted by position:
hkl, 2θ/deg, I_rel
0 0 6, 15.35, 9
1 0 5, 25.34, 12
1 0 7, 28.36, 100
1 1 0, 31.01, 58
1 0 9, 31.98, 16
1 0 13, 40.45, 10
2 0 0, 44.42, 38
2 1 7, 53.55, 35
1 0 19, 55.18, 14
2 2 0, 64.64, 8
3 1 0, 73.43, 21
3 2 7, 88.71, 9

Atomic structure:
a = 4.0785 Å, b = 4.0785 Å, c = 34.6258 Å
α = 90.00°, β = 90.00°, γ = 90.00°
Space group I4/mmm (No. 139)
One atom of each set of equivalent atoms:
Ba (0.0000, 0.0000, 0.0000) x2
Bi (0.0000, 0.0000, 0.2751) x4
Bi (0.0000, 0.0000, 0.4194) x4
I (0.0000, 0.0000, 0.1664) x4
O (0.0000, 0.5000, 0.0536) x8

This entry pairs a crystal structure of Al13Zn3 with its simulated powder diffractogram. Radiation: Cu Kα (weighted mean of Kα1 and Kα2). Structure: the PBE geometry in Alexandria.

The 12 most intense peaks (2θ from 15° to 90°), sorted by position:
hkl, 2θ/deg, I_rel
0 1 1, 15.54, 14
2 1 1, 27.16, 8
2 2 2, 38.74, 100
0 0 4, 44.91, 16
0 4 0, 45.03, 16
4 0 0, 45.15, 16
4 0 4, 65.53, 20
4 4 0, 65.67, 10
2 2 6, 78.67, 12
2 6 2, 78.84, 12
6 2 2, 79.02, 12
4 4 4, 83.10, 10

Atomic structure:
a = 8.0320 Å, b = 8.0530 Å, c = 8.0729 Å
α = 90.00°, β = 90.00°, γ = 90.00°
Space group Amm2 (No. 38)
One atom of each set of equivalent atoms:
Al (0.0000, 0.0000, 0.0000) x2
Al (0.0000, 0.0000, 0.4976) x2
Al (0.0000, 0.2482, 0.2490) x4
Al (0.2463, 0.0000, 0.7488) x4
Al (0.2482, 0.2489, 0.9985) x8
Al (0.5000, 0.0000, 0.4982) x2
Al (0.5000, 0.2485, 0.2485) x4
Zn (0.2500, 0.0000, 0.2486) x4
Zn (0.5000, 0.0000, 0.9978) x2

This entry pairs a crystal structure of Ac2AlCdGe with its simulated powder diffractogram. Radiation: Cu Kα (weighted mean of Kα1 and Kα2). Structure: the PBE geometry in Alexandria.

The 12 most intense peaks (2θ from 15° to 90°), sorted by position:
hkl, 2θ/deg, I_rel
1 1 0, 21.47, 77
2 0 0, 22.19, 56
2 1 0, 28.96, 21
1 1 -2, 30.77, 99
2 0 -2, 31.04, 42
1 1 2, 31.30, 100
2 0 2, 32.09, 31
0 2 0, 37.18, 48
3 1 0, 38.54, 59
0 0 4, 45.18, 22
2 2 -2, 49.19, 24
0 2 4, 59.90, 37

Atomic structure:
a = 8.0075 Å, b = 4.8363 Å, c = 8.0317 Å
α = 90.00°, β = 91.86°, γ = 90.00°
Space group P2_1/m (No. 11)
One atom of each set of equivalent atoms:
Ac (0.2065, 0.2500, 0.4963) x2
Ac (0.2302, 0.2500, 0.9930) x2
Al (0.4180, 0.7500, 0.2783) x2
Cd (0.4129, 0.7500, 0.7208) x2
Ge (0.1036, 0.7500, 0.2366) x2